# 1
This entry pairs a crystal structure of Cd12In16Au with its simulated powder diffractogram. Radiation: Cu Ka. Structure: a crystal structure in Alexandria, relaxed with PBE.

Largest 6 diffraction maxima, sorted by position, 2θ = 10–90°:
| two_theta | intensity | (hkl) |
| --- | --- | --- |
| 33.48 | 100 | 1 5 1 |
| 33.54 | 57 | 1 5 -2 |
| 37.10 | 23 | 2 0 2 |
| 37.20 | 23 | 3 5 -2 |
| 40.47 | 16 | 4 4 -1 |
| 59.87 | 16 | 1 5 4 |

Structure:
abc: 11.3643 16.0368 9.8105
angles: 90.00 125.15 90.00
Space group Cm (No. 8)
Unique sites:
1 Cd 0.0000 0.0000 0.0000 [2 per cell]
2 Cd 0.0542 0.2969 0.3785 [4 per cell]
3 Cd 0.0993 0.0955 0.8215 [4 per cell]
4 Cd 0.1475 0.4058 0.2022 [4 per cell]
5 Cd 0.1850 0.0000 0.3745 [2 per cell]
6 Cd 0.3684 0.1939 0.0056 [4 per cell]
7 Cd 0.4689 0.0950 0.5594 [4 per cell]
8 In 0.0749 0.3013 0.8807 [4 per cell]
9 In 0.1903 0.1716 0.1917 [4 per cell]
10 In 0.2078 0.5000 0.5288 [2 per cell]
11 In 0.2215 0.1477 0.6105 [4 per cell]
12 In 0.3055 0.3453 0.7770 [4 per cell]
13 In 0.3681 0.0000 0.1783 [2 per cell]
14 In 0.3876 0.2956 0.5079 [4 per cell]
15 In 0.3944 0.3780 0.1674 [4 per cell]
16 In 0.4304 0.0000 0.8589 [2 per cell]
17 In 0.4666 0.5000 0.4782 [2 per cell]
18 Au 0.1948 0.5000 0.8707 [2 per cell]

***

# 2
This entry pairs a crystal structure of CdInAu2 with its simulated powder diffractogram. Radiation: Cu Ka. Structure: a crystal structure in Alexandria, relaxed with PBE.

Largest 6 diffraction maxima, sorted by position, 2θ = 10–90°:
| two_theta | intensity | (hkl) |
| --- | --- | --- |
| 33.29 | 100 | 1 1 0 |
| 33.76 | 94 | 1 1 -1 |
| 39.11 | 92 | 0 1 2 |
| 40.12 | 76 | 0 2 0 |
| 40.72 | 83 | 1 1 1 |
| 41.92 | 71 | 1 1 -2 |

Structure:
abc: 3.4992 4.4955 5.5846
angles: 90.00 106.17 90.00
Space group Pm (No. 6)
Unique sites:
1 Cd 0.0000 0.0000 0.0000 [1 per cell]
2 In 0.7113 0.5000 0.3969 [1 per cell]
3 Au 0.2685 0.0000 0.5313 [1 per cell]
4 Au 0.4477 0.5000 0.8740 [1 per cell]